# CuH12I4N4
Theoretical X-ray diffraction stick pattern, Cu Ka. Input: a GGA-PBE-relaxed structure.

Structural model:
```
CuH12I4N4
1.0
6.211 -4.463 0.000
6.211 4.463 0.000
-2.589 0.000 6.121
Cu H I N
1 12 4 4
direct
0.000 0.000 0.000
0.002 0.254 0.374
0.059 0.635 0.824
0.216 0.717 0.780
0.254 0.002 0.374
0.283 0.784 0.220
0.365 0.941 0.176
0.635 0.059 0.824
0.717 0.216 0.780
0.746 0.998 0.626
0.784 0.283 0.220
0.941 0.365 0.176
0.998 0.746 0.626
0.205 0.205 0.789
0.411 0.411 0.281
0.589 0.589 0.719
0.795 0.795 0.211
0.076 0.747 0.784
0.253 0.924 0.216
0.747 0.076 0.784
0.924 0.253 0.216
```

The 6 most intense peaks (10° ≤ 2θ ≤ 90°), in order of rising 2θ:
16.59°, rel. 42; 19.89°, rel. 100; 24.32°, rel. 93; 26.01°, rel. 57; 33.70°, rel. 32; 40.72°, rel. 45

# Ce2SbS5
Theoretical X-ray diffraction stick pattern, Cu Ka. Input: a GGA-PBE-relaxed structure.

Structural model:
```
Ce2SbS5
1.0
2.707 -6.724 0.000
2.707 6.724 0.000
0.000 0.000 13.354
Ce Sb S
4 2 10
direct
0.147 0.853 0.564
0.147 0.853 0.936
0.853 0.147 0.064
0.853 0.147 0.436
0.186 0.814 0.250
0.814 0.186 0.750
0.050 0.950 0.117
0.050 0.950 0.383
0.255 0.745 0.750
0.309 0.691 0.069
0.309 0.691 0.431
0.691 0.309 0.569
0.691 0.309 0.931
0.745 0.255 0.250
0.950 0.050 0.617
0.950 0.050 0.883
```

The 6 most intense peaks (10° ≤ 2θ ≤ 90°), in order of rising 2θ:
13.18°, rel. 65; 17.66°, rel. 100; 23.98°, rel. 91; 26.76°, rel. 49; 33.09°, rel. 51; 42.68°, rel. 45

# UBeRuC
Theoretical X-ray diffraction stick pattern, Cu Ka. Input: a GGA-PBE-relaxed structure.

Structural model:
```
UBeRuC
1.0
3.612 0.000 0.000
0.000 3.612 0.000
0.000 0.000 8.332
U Be Ru C
2 2 2 2
direct
0.250 0.250 0.159
0.750 0.750 0.841
0.250 0.250 0.679
0.750 0.750 0.321
0.250 0.750 0.500
0.750 0.250 0.500
0.250 0.250 0.884
0.750 0.750 0.116
```

The 6 most intense peaks (10° ≤ 2θ ≤ 90°), in order of rising 2θ:
26.90°, rel. 100; 32.23°, rel. 55; 32.82°, rel. 78; 36.81°, rel. 77; 50.56°, rel. 54; 61.23°, rel. 51

# V2Te2WSe4
Theoretical X-ray diffraction stick pattern, Cu Ka. Input: a GGA-PBE-relaxed structure.

Structural model:
```
V2Te2WSe4
1.0
3.418 0.000 0.000
-1.709 2.960 0.000
0.000 0.000 22.123
V Te W Se
2 2 1 4
direct
0.000 0.000 0.000
0.333 0.667 0.311
0.000 0.000 0.586
0.000 0.000 0.756
0.333 0.667 0.671
0.000 0.000 0.239
0.000 0.000 0.382
0.333 0.667 0.071
0.333 0.667 0.928
```

The 6 most intense peaks (10° ≤ 2θ ≤ 90°), in order of rising 2θ:
12.00°, rel. 100; 30.19°, rel. 54; 36.52°, rel. 97; 39.02°, rel. 33; 44.85°, rel. 57; 53.62°, rel. 41

# Ac7La4Ho
Theoretical X-ray diffraction stick pattern, Cu Ka. Input: a GGA-PBE-relaxed structure.

Structural model:
```
Ac7La4Ho
1.0
7.056 0.000 0.000
-0.313 7.211 0.000
-0.689 -2.456 9.823
Ac La Ho
7 4 1
direct
0.000 0.000 0.000
0.143 0.790 0.411
0.262 0.511 0.068
0.322 0.278 0.378
0.678 0.722 0.622
0.738 0.489 0.932
0.857 0.210 0.589
0.208 0.616 0.735
0.339 0.138 0.725
0.661 0.862 0.275
0.792 0.384 0.265
0.500 0.000 0.000
```

The 6 most intense peaks (10° ≤ 2θ ≤ 90°), in order of rising 2θ:
27.51°, rel. 16; 29.12°, rel. 100; 29.39°, rel. 13; 29.52°, rel. 36; 30.33°, rel. 38; 31.05°, rel. 21

# LaMnGa11
Theoretical X-ray diffraction stick pattern, Cu Ka. Input: a GGA-PBE-relaxed structure.

Structural model:
```
LaMnGa11
1.0
2.627 -6.179 0.000
2.627 6.179 0.000
-2.619 0.000 7.459
La Mn Ga
1 1 11
direct
0.000 0.000 0.000
0.000 0.000 0.500
0.000 0.500 0.000
0.015 0.667 0.634
0.270 0.491 0.764
0.333 0.985 0.366
0.491 0.270 0.764
0.500 0.000 0.000
0.500 0.500 0.500
0.509 0.730 0.236
0.667 0.015 0.634
0.730 0.509 0.236
0.985 0.333 0.366
```

The 6 most intense peaks (10° ≤ 2θ ≤ 90°), in order of rising 2θ:
32.98°, rel. 61; 35.35°, rel. 94; 37.81°, rel. 97; 39.18°, rel. 100; 40.80°, rel. 57; 42.07°, rel. 33

# CePr2Er3
Theoretical X-ray diffraction stick pattern, Cu Ka. Input: a GGA-PBE-relaxed structure.

Structural model:
```
CePr2Er3
1.0
6.561 -1.757 0.000
6.561 1.757 0.000
-3.680 0.000 17.066
Ce Pr Er
2 4 6
direct
0.048 0.048 0.183
0.952 0.952 0.817
0.130 0.130 0.007
0.296 0.296 0.665
0.704 0.704 0.335
0.870 0.870 0.993
0.126 0.126 0.490
0.216 0.216 0.831
0.441 0.441 0.340
0.559 0.559 0.660
0.784 0.784 0.169
0.874 0.874 0.510
```

The 6 most intense peaks (10° ≤ 2θ ≤ 90°), in order of rising 2θ:
27.11°, rel. 27; 31.16°, rel. 72; 31.46°, rel. 100; 31.81°, rel. 71; 32.71°, rel. 28; 34.13°, rel. 32

# NdYHo5
Theoretical X-ray diffraction stick pattern, Cu Ka. Input: a GGA-PBE-relaxed structure.

Structural model:
```
NdYHo5
1.0
5.835 -3.382 0.000
5.835 3.382 0.000
-4.109 0.000 11.429
Nd Y Ho
2 2 10
direct
0.028 0.972 0.750
0.972 0.028 0.250
0.000 0.500 0.000
0.500 0.000 0.500
0.144 0.417 0.751
0.192 0.651 0.500
0.349 0.808 0.000
0.411 0.589 0.250
0.417 0.144 0.251
0.583 0.856 0.749
0.589 0.411 0.750
0.651 0.192 0.000
0.808 0.349 0.500
0.856 0.583 0.249
```

The 6 most intense peaks (10° ≤ 2θ ≤ 90°), in order of rising 2θ:
30.59°, rel. 99; 30.72°, rel. 58; 31.02°, rel. 100; 31.31°, rel. 94; 33.41°, rel. 46; 35.58°, rel. 41